Entry 1:
Diffraction record for Sc6Cu5Ag. The XRD peak list is calculated, not measured: it uses a structure optimized by DFT (PBE) and Cu Kα, 1.54184 Å.
Peak positions follow from Bragg's law for the DFT cell and can differ from measured ones.

Peak list (10 most intense, 2θ from 10° to 90°, low angle first)
(hkl)	2θ (°)	intensity
1 3 0	27.01	8.8
0 0 2	27.27	4.3
2 0 0	38.57	50.8
1 3 2	38.76	100.0
2 6 0	55.68	16.0
0 0 4	56.25	7.7
3 3 2	69.90	30.4
2 0 4	70.28	14.9
4 0 0	82.67	4.6
2 6 4	83.15	9.1

Atomic structure:
```
data_Sc6Cu5Ag
_chemical_formula_sum 'Sc12 Cu10 Ag2'
_space_group_name_H-M_alt 'C m m m'
_space_group_IT_number 65
_space_group_name_Hall '-C 2 2'
_cell_length_a 4.6698
_cell_length_b 14.0046
_cell_length_c 6.5411
_cell_angle_alpha 90.00
_cell_angle_beta 90.00
_cell_angle_gamma 90.00
loop_
_atom_site_label
_atom_site_fract_x
_atom_site_fract_y
_atom_site_fract_z
Sc1 0.0000 0.0000 0.2416
Sc2 0.0000 0.3297 0.2459
Cu1 0.0000 0.1644 0.0000
Cu2 0.0000 0.1656 0.5000
Cu3 0.0000 0.5000 0.0000
Ag1 0.0000 0.5000 0.5000
```

---

Entry 2:
Diffraction record for Sc5CuAg4. The XRD peak list is calculated, not measured: it uses a structure optimized by DFT (PBE) and Cu Kα, 1.54184 Å.
Peak positions follow from Bragg's law for the DFT cell and can differ from measured ones.

Peak list (10 most intense, 2θ from 10° to 90°, low angle first)
(hkl)	2θ (°)	intensity
0 0 5	25.75	10.5
1 0 0	26.37	19.8
1 0 5	37.19	100.0
1 1 0	37.64	49.4
1 1 5	46.16	8.9
0 0 10	52.93	7.9
2 0 0	54.28	16.0
1 1 10	66.75	15.0
2 1 5	67.64	30.8
2 0 10	79.25	9.0

Atomic structure:
```
data_Sc5CuAg4
_chemical_formula_sum 'Sc5 Cu1 Ag4'
_space_group_name_H-M_alt 'P 4/m m m'
_space_group_IT_number 123
_space_group_name_Hall '-P 4 2'
_cell_length_a 3.3798
_cell_length_b 3.3798
_cell_length_c 17.2992
_cell_angle_alpha 90.00
_cell_angle_beta 90.00
_cell_angle_gamma 90.00
loop_
_atom_site_label
_atom_site_fract_x
_atom_site_fract_y
_atom_site_fract_z
Sc1 0.0000 0.0000 0.0000
Sc2 0.0000 0.0000 0.2043
Sc3 0.0000 0.0000 0.4087
Cu1 0.5000 0.5000 0.5000
Ag1 0.5000 0.5000 0.1022
Ag2 0.5000 0.5000 0.3058
```

---

Entry 3:
Diffraction record for Cu2AgSe. The XRD peak list is calculated, not measured: it uses a structure optimized by DFT (PBE) and Cu Kα, 1.54184 Å.
Peak positions follow from Bragg's law for the DFT cell and can differ from measured ones.

Peak list (10 most intense, 2θ from 10° to 90°, low angle first)
(hkl)	2θ (°)	intensity
1 1 2	39.27	100.0
0 2 0	44.71	17.0
2 0 0	44.91	16.8
0 0 4	47.34	14.3
2 2 0	65.23	10.4
0 2 4	67.15	9.5
1 3 2	78.72	11.9
3 1 2	79.01	11.7
1 1 6	82.57	10.5
2 2 4	84.46	9.9

Atomic structure:
```
data_Cu2AgSe
_chemical_formula_sum 'Cu4 Ag2 Se2'
_space_group_name_H-M_alt 'I m m m'
_space_group_IT_number 71
_space_group_name_Hall '-I 2 2'
_cell_length_a 4.0371
_cell_length_b 4.0539
_cell_length_c 7.6805
_cell_angle_alpha 90.00
_cell_angle_beta 90.00
_cell_angle_gamma 90.00
loop_
_atom_site_label
_atom_site_fract_x
_atom_site_fract_y
_atom_site_fract_z
Cu1 0.0000 0.0000 0.2495
Ag1 0.0000 0.5000 0.0000
Se1 0.0000 0.5000 0.5000
```

---

Entry 4:
Diffraction record for CuAg12Se6. The XRD peak list is calculated, not measured: it uses a structure optimized by DFT (PBE) and Cu Kα, 1.54184 Å.
Peak positions follow from Bragg's law for the DFT cell and can differ from measured ones.

Peak list (10 most intense, 2θ from 10° to 90°, low angle first)
(hkl)	2θ (°)	intensity
1 0 -2	25.40	27.6
2 1 1	30.45	49.3
2 -1 0	32.43	29.1
-1 1 3	33.12	70.3
2 0 2	36.66	48.6
-1 3 1	39.62	100.0
0 1 -3	39.75	34.4
0 2 -2	39.88	71.0
1 2 4	43.12	44.4
-1 2 4	43.81	29.8

Atomic structure:
```
data_CuAg12Se6
_chemical_formula_sum 'Cu1 Ag12 Se6'
_space_group_name_H-M_alt 'P -1'
_space_group_IT_number 2
_space_group_name_Hall '-P 1'
_cell_length_a 6.3120
_cell_length_b 7.7149
_cell_length_c 9.0025
_cell_angle_alpha 66.32
_cell_angle_beta 89.79
_cell_angle_gamma 84.44
loop_
_atom_site_label
_atom_site_fract_x
_atom_site_fract_y
_atom_site_fract_z
Cu1 0.0000 0.0000 0.0000
Ag1 0.1221 0.5544 0.6295
Ag2 0.1480 0.8430 0.7748
Ag3 0.2435 0.9374 0.4418
Ag4 0.2923 0.4540 0.9549
Ag5 0.4621 0.3278 0.3138
Ag6 0.4972 0.2741 0.7461
Se1 0.1584 0.6604 0.1238
Se2 0.2033 0.2165 0.5690
Se3 0.2841 0.0860 0.1254
```